# 1
Simulated XRD peak list of Zr4Si6Os7 for Cu Kα (weighted mean of Kα1 and Kα2), from a cell relaxed with GGA-PBE.

Principal peaks in the range 5 to 70 degrees two-theta, by intensity:
2θ = 38.55°, I = 1000; 2θ = 27.00°, I = 831; 2θ = 44.81°, I = 773; 2θ = 41.78°, I = 708; 2θ = 65.24°, I = 477; 2θ = 53.10°, I = 226; 2θ = 15.49°, I = 196; 2θ = 62.92°, I = 142; 2θ = 21.97°, I = 100; 2θ = 47.69°, I = 40

Structure:
```
17
Lattice="-4.0451 4.0451 4.0451 4.0451 -4.0451 4.0451 4.0451 4.0451 -4.0451" Properties=species:S:1:pos:R:3 pbc="T T T"
Zr 2.0225 2.0225 -2.0225
Zr 2.0225 -2.0225 2.0225
Zr -2.0225 2.0225 2.0225
Zr 2.0225 2.0225 2.0225
Si 2.5032 0.0000 0.0000
Si 5.5870 0.0000 0.0000
Si 0.0000 2.5032 0.0000
Si 0.0000 0.0000 2.5032
Si 0.0000 5.5870 0.0000
Si 0.0000 0.0000 5.5870
Os 0.0000 0.0000 0.0000
Os 4.0451 2.0225 0.0000
Os 4.0451 0.0000 2.0225
Os 2.0225 4.0451 0.0000
Os 2.0225 0.0000 4.0451
Os 0.0000 4.0451 2.0225
Os 0.0000 2.0225 4.0451
```

# 2
Simulated XRD peak list of BeNiAs2 for Cu Kα (weighted mean of Kα1 and Kα2), from a cell relaxed with GGA-PBE.

Principal peaks in the range 5 to 70 degrees two-theta, by intensity:
2θ = 37.64°, I = 1000; 2θ = 25.53°, I = 679; 2θ = 33.12°, I = 560; 2θ = 51.36°, I = 377; 2θ = 42.39°, I = 285; 2θ = 48.01°, I = 284; 2θ = 16.37°, I = 257; 2θ = 47.33°, I = 198; 2θ = 49.46°, I = 167; 2θ = 58.44°, I = 160

Structure:
```
8
Lattice="7.2752 0.0000 0.0000 0.0000 3.1584 0.0000 -2.0432 0.0000 5.4136" Properties=species:S:1:pos:R:3 pbc="T T T"
Be 0.0000 0.0000 0.0000
Be 3.6376 1.5792 0.0000
Ni 0.0090 0.0000 4.5909
Ni 3.6466 1.5792 4.5909
As 1.6519 1.5792 1.0468
As 2.1599 0.0000 3.5221
As 5.2895 0.0000 1.0468
As 5.7975 1.5792 3.5221
```